(1)
Diffraction record for NbSnRuRh. The X-ray powder pattern is theoretical, not measured: it uses a DFT-relaxed cell (PBE, Alexandria) and copper Kα.
Neutral-atom scattering factors, no anomalous dispersion.

The 9 most intense peaks (15 to 90 degrees two-theta), in order of rising 2θ:
2θ = 24.3°, intensity 1
2θ = 38.8°, intensity 100
2θ = 43.1°, intensity 37
2θ = 48.8°, intensity 13
2θ = 62.6°, intensity 12
2θ = 67.1°, intensity 20
2θ = 76.1°, intensity 27
2θ = 83.2°, intensity 11
2θ = 84.5°, intensity 11

Cell and atoms:
Cell: 4.1997 4.1997 7.4608 Å, 90.00 90.00 90.00°
Space group I-4m2 (No. 119)
Unique sites:
Nb1 0.0000 0.0000 0.0000 (multiplicity 2)
Sn1 0.0000 0.0000 0.5000 (multiplicity 2)
Ru1 0.0000 0.5000 0.2500 (multiplicity 2)
Rh1 0.0000 0.5000 0.7500 (multiplicity 2)

***

(2)
Diffraction record for Tb6Al2Hg. The X-ray powder pattern is theoretical, not measured: it uses a DFT-relaxed cell (PBE, Alexandria) and copper Kα.
Neutral-atom scattering factors, no anomalous dispersion.

The 10 most intense peaks (15 to 90 degrees two-theta), in order of rising 2θ:
2θ = 27.1°, intensity 18
2θ = 28.5°, intensity 25
2θ = 28.8°, intensity 15
2θ = 30.9°, intensity 100
2θ = 32.6°, intensity 26
2θ = 33.7°, intensity 39
2θ = 34.1°, intensity 41
2θ = 36.2°, intensity 26
2θ = 54.7°, intensity 15
2θ = 57.2°, intensity 27

Cell and atoms:
Cell: 9.7353 9.9154 10.5023 Å, 90.00 90.00 90.00°
Space group Immm (No. 71)
Unique sites:
Tb1 0.0000 0.2115 0.1761 (multiplicity 8)
Tb2 0.1796 0.2285 0.5000 (multiplicity 8)
Tb3 0.1992 0.5000 0.2513 (multiplicity 8)
Al1 0.0000 0.0000 0.3765 (multiplicity 4)
Al2 0.1401 0.0000 0.0000 (multiplicity 4)
Hg1 0.0000 0.5000 0.0000 (multiplicity 2)
Hg2 0.0000 0.5000 0.5000 (multiplicity 2)

***

(3)
Diffraction record for Rb6TeI2O. The X-ray powder pattern is theoretical, not measured: it uses a DFT-relaxed cell (PBE, Alexandria) and copper Kα.
Neutral-atom scattering factors, no anomalous dispersion.

The 10 most intense peaks (15 to 90 degrees two-theta), in order of rising 2θ:
2θ = 23.4°, intensity 44
2θ = 25.8°, intensity 100
2θ = 28.3°, intensity 67
2θ = 28.9°, intensity 57
2θ = 29.2°, intensity 54
2θ = 31.3°, intensity 77
2θ = 31.9°, intensity 51
2θ = 35.2°, intensity 32
2θ = 40.9°, intensity 35
2θ = 46.7°, intensity 34

Cell and atoms:
Cell: 8.3279 12.3693 9.6671 Å, 90.00 90.00 90.00°
Space group Pmmn (No. 59, origin choice 2)
Unique sites:
Rb1 0.0059 0.2500 0.1133 (multiplicity 4)
Rb2 0.0211 0.7500 0.4791 (multiplicity 4)
Rb3 0.2500 0.5240 0.7044 (multiplicity 4)
Te1 0.2500 0.2500 0.8125 (multiplicity 2)
I1 0.2500 0.0401 0.3295 (multiplicity 4)
O1 0.2500 0.7500 0.7024 (multiplicity 2)

***

(4)
Diffraction record for PmSm2Dy12. The X-ray powder pattern is theoretical, not measured: it uses a DFT-relaxed cell (PBE, Alexandria) and copper Kα.
Neutral-atom scattering factors, no anomalous dispersion.

The 10 most intense peaks (15 to 90 degrees two-theta), in order of rising 2θ:
2θ = 29.1°, intensity 29
2θ = 29.8°, intensity 67
2θ = 30.7°, intensity 99
2θ = 31.7°, intensity 100
2θ = 31.8°, intensity 29
2θ = 33.0°, intensity 75
2θ = 33.3°, intensity 64
2θ = 37.1°, intensity 61
2θ = 58.6°, intensity 30
2θ = 62.1°, intensity 31

Cell and atoms:
Cell: 7.0516 11.3018 24.7780 Å, 90.00 90.00 90.00°
Space group Cmme (No. 67)
Unique sites:
Pm1 0.0000 0.2500 0.9998 (multiplicity 4)
Sm1 0.0000 0.2500 0.2662 (multiplicity 4)
Sm2 0.0000 0.2500 0.7294 (multiplicity 4)
Dy1 0.0000 0.0007 0.0791 (multiplicity 8)
Dy2 0.0000 0.0127 0.5614 (multiplicity 8)
Dy3 0.2394 0.2500 0.4153 (multiplicity 8)
Dy4 0.2493 0.2500 0.8718 (multiplicity 8)
Dy5 0.2500 0.0000 0.2000 (multiplicity 8)
Dy6 0.2500 0.0000 0.3276 (multiplicity 8)